This entry pairs a crystal structure of Ta6Be15Ni8 with its simulated powder X-ray diffraction pattern. Radiation: Cu Kα (λ = 1.5418 Å). Structure: a structure optimized by DFT (PBE).
Kinematic intensities with the Lorentz-polarization factor, no thermal factor.

Structure:
```
Ta6Be15Ni8
1.0
0.000 5.345 5.345
5.345 0.000 5.345
5.345 5.345 0.000
Ta Be Ni
6 15 8
Cartesian
5.345 5.345 2.173
5.345 2.173 5.345
8.516 5.345 5.345
2.173 5.345 5.345
5.345 8.516 5.345
5.345 5.345 8.516
2.672 2.672 0.000
2.672 0.000 2.672
5.345 2.672 2.672
1.853 1.853 1.853
3.491 3.491 1.853
3.491 1.853 3.491
1.853 3.491 3.491
0.000 2.672 2.672
2.672 5.345 2.672
2.672 2.672 5.345
5.345 5.345 5.345
8.836 7.198 7.198
7.198 8.836 7.198
7.198 7.198 8.836
8.836 8.836 8.836
6.656 4.033 4.033
4.033 4.033 4.033
6.656 6.656 4.033
6.656 4.033 6.656
4.033 6.656 4.033
4.033 4.033 6.656
6.656 6.656 6.656
4.033 6.656 6.656
```

The 12 most intense peaks (2θ from 15° to 90°), low angle first:
2θ (°)  intensity
16.59  57.9
23.54  17.4
28.93  100.0
36.64  80.0
41.38  34.6
44.02  100.0
48.15  72.2
62.00  22.0
67.28  22.8
72.36  30.9
75.46  24.3
77.30  18.8

***

This entry pairs a crystal structure of Ta2Be16Ni with its simulated powder X-ray diffraction pattern. Radiation: Cu Kα (λ = 1.5418 Å). Structure: a structure optimized by DFT (PBE).
Kinematic intensities with the Lorentz-polarization factor, no thermal factor.

Structure:
```
Ta2Be16Ni
1.0
3.695 2.133 3.586
-3.695 2.133 3.586
0.000 -4.266 3.586
Ta Be Ni
2 16 1
Cartesian
0.000 0.000 0.000
0.000 0.000 3.443
0.000 -2.106 1.827
-1.824 1.053 1.827
-1.847 -1.066 5.293
0.000 -2.168 5.175
-1.877 1.084 5.175
-1.079 -1.866 7.105
-2.155 -0.001 7.105
1.824 1.053 1.827
0.000 0.000 5.980
1.847 -1.066 5.293
0.000 2.132 5.293
1.079 -1.866 7.105
-1.077 1.867 7.105
1.877 1.084 5.175
2.155 -0.001 7.105
1.077 1.867 7.105
0.000 0.000 8.123
```

The 12 most intense peaks (2θ from 15° to 90°), low angle first:
2θ (°)  intensity
16.12  27.2
21.58  14.8
24.09  100.0
24.83  21.2
34.87  60.5
36.23  17.4
42.37  28.9
49.33  20.9
49.73  28.4
50.76  14.5
67.01  12.4
72.66  15.3

***

This entry pairs a crystal structure of TaBe3Ni10 with its simulated powder X-ray diffraction pattern. Radiation: Cu Kα (λ = 1.5418 Å). Structure: a structure optimized by DFT (PBE).
Kinematic intensities with the Lorentz-polarization factor, no thermal factor.

Structure:
```
TaBe3Ni10
1.0
0.000 5.355 5.355
5.355 0.000 5.355
5.355 5.355 0.000
Ta Be Ni
2 6 20
Cartesian
2.677 2.677 2.677
8.032 8.032 8.032
5.355 5.355 2.443
5.355 2.443 5.355
8.266 5.355 5.355
2.443 5.355 5.355
5.355 8.266 5.355
5.355 5.355 8.266
1.279 1.279 1.279
4.076 4.076 1.279
4.076 1.279 4.076
5.355 3.521 3.521
7.189 5.355 3.521
7.189 3.521 5.355
9.431 6.633 6.633
3.521 5.355 3.521
5.355 7.189 3.521
3.521 3.521 5.355
7.189 7.189 5.355
5.355 3.521 7.189
7.189 5.355 7.189
1.279 4.076 4.076
3.521 7.189 5.355
3.521 5.355 7.189
5.355 7.189 7.189
6.633 9.431 6.633
6.633 6.633 9.431
9.431 9.431 9.431
```

The 12 most intense peaks (2θ from 15° to 90°), low angle first:
2θ (°)  intensity
16.56  62.0
37.56  100.0
41.30  66.7
43.93  89.9
48.06  40.1
50.41  41.8
54.17  10.7
57.04  31.1
72.83  28.1
75.30  38.1
81.96  11.0
89.71  26.5

***

This entry pairs a crystal structure of Ta3Be7Ni2 with its simulated powder X-ray diffraction pattern. Radiation: Cu Kα (λ = 1.5418 Å). Structure: a structure optimized by DFT (PBE).
Kinematic intensities with the Lorentz-polarization factor, no thermal factor.

Structure:
```
Ta3Be7Ni2
1.0
2.296 1.326 7.179
-2.296 1.326 7.179
0.000 -2.652 7.179
Ta Be Ni
3 7 2
Cartesian
0.000 0.000 0.000
0.000 0.000 3.066
0.000 0.000 18.471
-1.174 -0.678 8.983
0.000 -1.356 12.554
-1.174 0.678 12.554
0.000 0.000 10.768
1.174 -0.678 8.983
0.000 1.356 8.983
1.174 0.678 12.554
0.000 0.000 7.211
0.000 0.000 14.326
```

The 12 most intense peaks (2θ from 15° to 90°), low angle first:
2θ (°)  intensity
22.74  92.6
24.80  61.4
27.89  22.8
36.94  59.0
39.23  100.0
40.46  27.9
45.82  19.3
46.97  80.9
64.99  17.5
69.61  19.4
76.61  18.8
78.60  25.3